This entry pairs a crystal structure of CaGaH4Cl with its computed powder XRD pattern. Radiation: Cu Kα X-rays. Structure: a PBE-relaxed structure.

Most intense lines, 2θ = 15–90°, by angle:
2θ (°)  Rel. int.  index
25.4  100  0 2 0
25.9  41  2 0 1
27.7  39  0 0 2
31.2  77  3 1 -1
37.1  36  3 1 -2
37.9  32  0 2 2

Atomic structure:
a b c (Å): 9.731 7.015 6.633
angles (deg): 90.00 103.73 90.00
Space group C2/m (No. 12)
Symmetry-distinct sites (fractional):
Ca 0.212 0.000 0.123 x4
Ga 0.128 0.500 0.261 x4
H 0.039 0.500 0.779 x4
H 0.179 0.326 0.132 x8
H 0.206 0.500 0.498 x4
Cl 0.027 0.000 0.755 x4

---

This entry pairs a crystal structure of Rb2Ge2O5 with its computed powder XRD pattern. Radiation: Cu Kα X-rays. Structure: a PBE-relaxed structure.

Most intense lines, 2θ = 15–90°, by angle:
2θ (°)  Rel. int.  index
26.5  22  2 2 -1
26.7  100  0 2 3
26.8  18  1 1 -4
28.6  19  2 0 -4
29.4  25  2 0 4
31.7  17  1 3 -1

Atomic structure:
a b c (Å): 10.781 8.926 15.023
angles (deg): 90.00 91.71 90.00
Space group C2/c (No. 15)
Symmetry-distinct sites (fractional):
Rb 0.088 0.107 0.106 x8
Rb 0.154 0.387 0.566 x8
Ge 0.111 0.211 0.821 x8
Ge 0.148 0.420 0.283 x8
O 0.000 0.109 0.750 x4
O 0.000 0.336 0.250 x4
O 0.065 0.207 0.929 x8
O 0.137 0.382 0.762 x8
O 0.203 0.369 0.386 x8
O 0.238 0.376 0.187 x8

---

This entry pairs a crystal structure of CdInRh with its computed powder XRD pattern. Radiation: Cu Kα X-rays. Structure: a PBE-relaxed structure.

Most intense lines, 2θ = 15–90°, by angle:
2θ (°)  Rel. int.  index
37.0  99  0 1 3
37.7  100  1 1 0
39.8  81  1 0 3
65.7  35  1 2 3
69.9  24  1 1 6
71.3  27  2 1 3

Atomic structure:
a b c (Å): 3.155 3.653 9.769
angles (deg): 90.00 90.00 90.00
Space group Imm2 (No. 44)
Symmetry-distinct sites (fractional):
Cd 0.000 0.000 0.000 x2
In 0.000 0.000 0.305 x2
Rh 0.000 0.000 0.665 x2

---

This entry pairs a crystal structure of Ac8Hg4PtRh3 with its computed powder XRD pattern. Radiation: Cu Kα X-rays. Structure: a PBE-relaxed structure.

Most intense lines, 2θ = 15–90°, by angle:
2θ (°)  Rel. int.  index
27.8  100  4 0 0
37.7  12  4 0 -4
37.8  23  2 2 2
41.6  25  6 2 -2
41.7  12  0 4 0
50.9  13  4 4 0

Atomic structure:
a b c (Å): 15.044 8.656 9.630
angles (deg): 90.00 121.52 90.00
Space group C2/m (No. 12)
Symmetry-distinct sites (fractional):
Ac 0.016 0.246 0.295 x8
Ac 0.234 0.000 0.704 x4
Ac 0.237 0.500 0.704 x4
Hg 0.000 0.000 0.000 x2
Hg 0.000 0.500 0.000 x2
Hg 0.250 0.250 0.000 x4
Pt 0.000 0.500 0.500 x2
Rh 0.000 0.000 0.500 x2
Rh 0.250 0.250 0.500 x4

---

This entry pairs a crystal structure of Be2B2Pd with its computed powder XRD pattern. Radiation: Cu Kα X-rays. Structure: a PBE-relaxed structure.

Most intense lines, 2θ = 15–90°, by angle:
2θ (°)  Rel. int.  index
23.1  100  1 1 0
29.9  38  0 0 1
33.0  53  2 0 0
38.2  65  1 1 1
45.1  53  2 0 1
53.3  33  3 1 0

Atomic structure:
a b c (Å): 5.436 5.436 2.987
angles (deg): 90.00 90.00 90.00
Space group P4/mbm (No. 127)
Symmetry-distinct sites (fractional):
Be 0.161 0.339 0.000 x4
B 0.106 0.606 0.500 x4
Pd 0.000 0.000 0.500 x2